# Pr2Cu5NiPd2
Theoretical XRD peak list, Cu Kα (weighted mean of Kα1 and Kα2). Input: a DFT-relaxed cell (GGA-PBE, Alexandria).

Main lines, in order of rising 2θ (5 to 70 degrees two-theta):
2θ = 30.3°, d 2.954, I 18; 2θ = 35.7°, d 2.516, I 20; 2θ = 38.1°, d 2.360, I 100; 2θ = 38.6°, d 2.331, I 41; 2θ = 39.8°, d 2.265, I 31; 2θ = 41.6°, d 2.172, I 38; 2θ = 48.6°, d 1.873, I 25; 2θ = 63.8°, d 1.460, I 18

Atomic structure:
Cell lengths 9.610, 9.610, 3.745 Å; angles 90.00, 90.00, 90.00 degrees
Atoms (fractional coordinates):
Pr  0.179  0.321  0.000
Pr  0.321  0.821  0.000
Pr  0.679  0.179  0.000
Pr  0.821  0.679  0.000
Cu  0.000  0.500  0.500
Cu  0.048  0.818  0.500
Cu  0.182  0.048  0.500
Cu  0.318  0.548  0.500
Cu  0.452  0.318  0.500
Cu  0.500  0.000  0.500
Cu  0.548  0.682  0.500
Cu  0.682  0.452  0.500
Cu  0.818  0.952  0.500
Cu  0.952  0.182  0.500
Ni  0.000  0.000  0.000
Ni  0.500  0.500  0.000
Pd  0.123  0.623  0.000
Pd  0.377  0.123  0.000
Pd  0.623  0.877  0.000
Pd  0.877  0.377  0.000

# La6Ge2N
Theoretical XRD peak list, Cu Kα (weighted mean of Kα1 and Kα2). Input: a DFT-relaxed cell (GGA-PBE, Alexandria).

Main lines, in order of rising 2θ (5 to 70 degrees two-theta):
2θ = 27.4°, d 3.253, I 43; 2θ = 28.5°, d 3.128, I 100; 2θ = 29.2°, d 3.062, I 68; 2θ = 30.3°, d 2.952, I 74; 2θ = 31.0°, d 2.886, I 61; 2θ = 32.0°, d 2.796, I 48; 2θ = 35.4°, d 2.538, I 44; 2θ = 35.5°, d 2.525, I 46

Atomic structure:
Cell lengths 6.608, 8.200, 11.481 Å; angles 90.00, 122.58, 90.00 degrees
Atoms (fractional coordinates):
La  0.114  0.157  0.450
La  0.114  0.343  0.950
La  0.312  0.715  0.446
La  0.312  0.785  0.946
La  0.368  0.037  0.249
La  0.368  0.463  0.749
La  0.632  0.537  0.251
La  0.632  0.963  0.751
La  0.688  0.215  0.054
La  0.688  0.285  0.554
La  0.886  0.657  0.050
La  0.886  0.843  0.550
Ge  0.192  0.111  0.760
Ge  0.192  0.389  0.260
Ge  0.808  0.611  0.740
Ge  0.808  0.889  0.240
N  0.500  0.000  0.500
N  0.500  0.500  0.000

# Th2OsRh
Theoretical XRD peak list, Cu Kα (weighted mean of Kα1 and Kα2). Input: a DFT-relaxed cell (GGA-PBE, Alexandria).

Main lines, in order of rising 2θ (5 to 70 degrees two-theta):
2θ = 31.3°, d 2.857, I 43; 2θ = 32.4°, d 2.764, I 100; 2θ = 38.3°, d 2.350, I 15; 2θ = 39.4°, d 2.285, I 31; 2θ = 39.6°, d 2.277, I 31; 2θ = 43.8°, d 2.067, I 24; 2θ = 46.2°, d 1.965, I 20; 2θ = 54.8°, d 1.675, I 19

Atomic structure:
Cell lengths 6.052, 4.135, 7.861 Å; angles 90.00, 109.25, 90.00 degrees
Atoms (fractional coordinates):
Th  0.223  0.250  0.436
Th  0.227  0.250  0.927
Th  0.773  0.750  0.073
Th  0.777  0.750  0.564
Os  0.318  0.750  0.706
Os  0.682  0.250  0.294
Rh  0.302  0.750  0.200
Rh  0.698  0.250  0.800

# HoTm2Pb3
Theoretical XRD peak list, Cu Kα (weighted mean of Kα1 and Kα2). Input: a DFT-relaxed cell (GGA-PBE, Alexandria).

Main lines, in order of rising 2θ (5 to 70 degrees two-theta):
2θ = 30.1°, d 2.968, I 100; 2θ = 30.3°, d 2.952, I 90; 2θ = 31.5°, d 2.843, I 79; 2θ = 35.0°, d 2.566, I 70; 2θ = 35.4°, d 2.536, I 62; 2θ = 38.3°, d 2.352, I 51; 2θ = 43.5°, d 2.080, I 38; 2θ = 49.9°, d 1.827, I 26

Atomic structure:
Cell lengths 6.367, 7.561, 8.370 Å; angles 69.36, 70.68, 69.65 degrees
Atoms (fractional coordinates):
Ho  0.016  0.232  0.023
Ho  0.984  0.768  0.977
Tm  0.322  0.435  0.309
Tm  0.355  0.899  0.356
Tm  0.645  0.101  0.644
Tm  0.678  0.565  0.691
Pb  0.138  0.115  0.655
Pb  0.188  0.556  0.672
Pb  0.475  0.779  0.991
Pb  0.525  0.221  0.009
Pb  0.812  0.444  0.328
Pb  0.862  0.885  0.345

# AgSbPbS3
Theoretical XRD peak list, Cu Kα (weighted mean of Kα1 and Kα2). Input: a DFT-relaxed cell (GGA-PBE, Alexandria).

Main lines, in order of rising 2θ (5 to 70 degrees two-theta):
2θ = 25.4°, d 3.503, I 82; 2θ = 27.3°, d 3.265, I 62; 2θ = 29.6°, d 3.022, I 57; 2θ = 31.1°, d 2.880, I 100; 2θ = 43.3°, d 2.087, I 34; 2θ = 43.5°, d 2.082, I 37; 2θ = 50.9°, d 1.795, I 27; 2θ = 52.2°, d 1.752, I 18

Atomic structure:
Cell lengths 6.045, 12.896, 7.758 Å; angles 90.00, 90.18, 90.00 degrees
Atoms (fractional coordinates):
Ag  0.244  0.236  0.380
Ag  0.244  0.264  0.880
Ag  0.756  0.736  0.120
Ag  0.756  0.764  0.620
Sb  0.247  0.594  0.858
Sb  0.247  0.906  0.358
Sb  0.753  0.094  0.642
Sb  0.753  0.406  0.142
Pb  0.260  0.580  0.353
Pb  0.260  0.920  0.853
Pb  0.740  0.080  0.147
Pb  0.740  0.420  0.647
S  0.156  0.127  0.645
S  0.156  0.373  0.145
S  0.253  0.057  0.151
S  0.253  0.443  0.651
S  0.328  0.725  0.632
S  0.328  0.775  0.132
S  0.672  0.225  0.868
S  0.672  0.275  0.368
S  0.747  0.557  0.349
S  0.747  0.943  0.849
S  0.844  0.627  0.855
S  0.844  0.873  0.355

# Rb2LiCuBr6
Theoretical XRD peak list, Cu Kα (weighted mean of Kα1 and Kα2). Input: a DFT-relaxed cell (GGA-PBE, Alexandria).

Main lines, in order of rising 2θ (5 to 70 degrees two-theta):
2θ = 14.5°, d 6.112, I 12; 2θ = 23.8°, d 3.743, I 5; 2θ = 29.2°, d 3.056, I 100; 2θ = 33.9°, d 2.647, I 79; 2θ = 44.5°, d 2.038, I 4; 2θ = 48.7°, d 1.872, I 54; 2θ = 57.8°, d 1.596, I 41; 2θ = 60.6°, d 1.528, I 18

Atomic structure:
Cell lengths 7.488, 7.488, 7.488 Å; angles 120.05, 120.05, 89.91 degrees
Atoms (fractional coordinates):
Rb  0.250  0.750  0.500
Rb  0.750  0.250  0.500
Li  0.000  0.000  0.000
Cu  0.500  0.500  0.000
Br  0.254  0.254  0.509
Br  0.254  0.746  0.000
Br  0.266  0.266  0.000
Br  0.734  0.734  0.000
Br  0.746  0.254  0.000
Br  0.746  0.746  0.491

# Ti4Al11Zn
Theoretical XRD peak list, Cu Kα (weighted mean of Kα1 and Kα2). Input: a DFT-relaxed cell (GGA-PBE, Alexandria).

Main lines, in order of rising 2θ (5 to 70 degrees two-theta):
2θ = 5.3°, d 16.588, I 15; 2θ = 21.4°, d 4.147, I 6; 2θ = 32.5°, d 2.758, I 5; 2θ = 39.2°, d 2.296, I 100; 2θ = 43.7°, d 2.074, I 18; 2θ = 46.6°, d 1.950, I 31; 2θ = 65.7°, d 1.420, I 20; 2θ = 68.0°, d 1.379, I 9

Atomic structure:
Cell lengths 3.899, 3.899, 16.588 Å; angles 90.00, 90.00, 90.00 degrees
Atoms (fractional coordinates):
Ti  0.000  0.000  0.000
Ti  0.000  0.000  0.236
Ti  0.500  0.500  0.499
Ti  0.500  0.500  0.736
Al  0.000  0.000  0.489
Al  0.000  0.000  0.742
Al  0.000  0.500  0.119
Al  0.000  0.500  0.364
Al  0.000  0.500  0.617
Al  0.000  0.500  0.868
Al  0.500  0.000  0.119
Al  0.500  0.000  0.364
Al  0.500  0.000  0.617
Al  0.500  0.000  0.868
Al  0.500  0.500  0.994
Zn  0.500  0.500  0.240

# Ag2PbBr5
Theoretical XRD peak list, Cu Kα (weighted mean of Kα1 and Kα2). Input: a DFT-relaxed cell (GGA-PBE, Alexandria).

Main lines, in order of rising 2θ (5 to 70 degrees two-theta):
2θ = 13.7°, d 6.455, I 83; 2θ = 17.0°, d 5.203, I 33; 2θ = 28.3°, d 3.155, I 70; 2θ = 30.6°, d 2.922, I 35; 2θ = 32.5°, d 2.758, I 100; 2θ = 42.2°, d 2.144, I 29; 2θ = 49.0°, d 1.858, I 26; 2θ = 51.4°, d 1.778, I 41

Atomic structure:
Cell lengths 9.199, 7.274, 7.184 Å; angles 79.02, 50.92, 50.06 degrees
Atoms (fractional coordinates):
Ag  0.206  0.206  0.794
Ag  0.794  0.794  0.206
Pb  0.500  0.500  0.500
Br  0.000  0.000  0.000
Br  0.189  0.495  0.505
Br  0.495  0.189  0.811
Br  0.505  0.811  0.189
Br  0.811  0.505  0.495

Repeat the third record exactly.
# Th2OsRh
Theoretical XRD peak list, Cu Kα (weighted mean of Kα1 and Kα2). Input: a DFT-relaxed cell (GGA-PBE, Alexandria).

Main lines, in order of rising 2θ (5 to 70 degrees two-theta):
2θ = 31.3°, d 2.857, I 43; 2θ = 32.4°, d 2.764, I 100; 2θ = 38.3°, d 2.350, I 15; 2θ = 39.4°, d 2.285, I 31; 2θ = 39.6°, d 2.277, I 31; 2θ = 43.8°, d 2.067, I 24; 2θ = 46.2°, d 1.965, I 20; 2θ = 54.8°, d 1.675, I 19

Atomic structure:
Cell lengths 6.052, 4.135, 7.861 Å; angles 90.00, 109.25, 90.00 degrees
Atoms (fractional coordinates):
Th  0.223  0.250  0.436
Th  0.227  0.250  0.927
Th  0.773  0.750  0.073
Th  0.777  0.750  0.564
Os  0.318  0.750  0.706
Os  0.682  0.250  0.294
Rh  0.302  0.750  0.200
Rh  0.698  0.250  0.800